No. 1
Calculated powder X-ray diffraction pattern
Compound: Tb2H4Pd
Radiation: Cu Ka
Structure: a structure optimized by DFT (PBE)
Kinematic intensities with the Lorentz-polarization factor, no thermal factor.

Principal peaks in the range 10 to 90 degrees two-theta, sorted by position:
(1 0 3), 2θ = 32.48°, d 2.757, I 100
(1 1 0), 2θ = 35.86°, d 2.504, I 40
(0 0 6), 2θ = 41.09°, d 2.197, I 12
(2 0 0), 2θ = 51.62°, d 1.771, I 14
(1 1 6), 2θ = 55.66°, d 1.651, I 20
(2 1 3), 2θ = 62.32°, d 1.490, I 31

Structural model:
abc: 3.541 3.541 13.179
angles: 90.00 90.00 90.00
Space group I4/mmm (No. 139)
Inequivalent atoms, fractional coordinates:
Tb 0.000 0.000 0.155 (multiplicity 4)
H 0.000 0.000 0.328 (multiplicity 4)
H 0.000 0.500 0.000 (multiplicity 4)
Pd 0.000 0.000 0.500 (multiplicity 2)

---

No. 2
Calculated powder X-ray diffraction pattern
Compound: TeH6Pd8
Radiation: Cu Ka
Structure: a structure optimized by DFT (PBE)
Kinematic intensities with the Lorentz-polarization factor, no thermal factor.

Principal peaks in the range 10 to 90 degrees two-theta, sorted by position:
(0 1 1), 2θ = 32.96°, d 2.718, I 17
(1 1 1), 2θ = 37.82°, d 2.379, I 68
(3 0 0), 2θ = 38.83°, d 2.319, I 100
(3 -2 1), 2θ = 46.23°, d 1.964, I 16
(4 -2 1), 2θ = 55.32°, d 1.661, I 21
(4 1 1), 2θ = 69.64°, d 1.350, I 20

Structural model:
abc: 8.0331 8.0331 2.9524
angles: 90.00 90.00 120.00
Space group P-3 (No. 147)
Inequivalent atoms, fractional coordinates:
Te 0.0000 0.0000 0.0000 (multiplicity 1)
H 0.1547 0.4509 0.7085 (multiplicity 6)
Pd 0.0171 0.6746 0.8054 (multiplicity 6)
Pd 0.3333 0.6667 0.3946 (multiplicity 2)

---

No. 3
Calculated powder X-ray diffraction pattern
Compound: ThH4Pd
Radiation: Cu Ka
Structure: a structure optimized by DFT (PBE)
Kinematic intensities with the Lorentz-polarization factor, no thermal factor.

Principal peaks in the range 10 to 90 degrees two-theta, sorted by position:
(1 1 -1), 2θ = 28.18°, d 3.167, I 100
(0 0 2), 2θ = 29.05°, d 3.074, I 46
(1 1 1), 2θ = 39.01°, d 2.309, I 43
(2 0 -2), 2θ = 40.12°, d 2.248, I 20
(1 1 -3), 2θ = 42.75°, d 2.115, I 34
(0 2 2), 2θ = 50.55°, d 1.806, I 21

Structural model:
abc: 4.530 4.462 7.208
angles: 90.00 121.47 90.00
Space group P2_1/c (No. 14)
Inequivalent atoms, fractional coordinates:
Th 0.000 0.000 0.000 (multiplicity 2)
H 0.045 0.011 0.361 (multiplicity 4)
H 0.402 0.678 0.338 (multiplicity 4)
Pd 0.500 0.000 0.500 (multiplicity 2)

---

No. 4
Calculated powder X-ray diffraction pattern
Compound: ThH6Pd2
Radiation: Cu Ka
Structure: a structure optimized by DFT (PBE)
Kinematic intensities with the Lorentz-polarization factor, no thermal factor.

Principal peaks in the range 10 to 90 degrees two-theta, sorted by position:
(1 1 -1), 2θ = 24.94°, d 3.570, I 29
(2 0 0), 2θ = 26.29°, d 3.390, I 100
(1 1 1), 2θ = 31.00°, d 2.885, I 60
(0 2 0), 2θ = 33.97°, d 2.639, I 41
(1 1 -2), 2θ = 38.46°, d 2.341, I 56
(2 2 0), 2θ = 43.46°, d 2.082, I 53

Structural model:
abc: 7.225 5.277 5.224
angles: 90.00 110.27 90.00
Space group C2/m (No. 12)
Inequivalent atoms, fractional coordinates:
Th 0.000 0.000 0.000 (multiplicity 2)
H 0.059 0.000 0.532 (multiplicity 4)
H 0.175 0.500 0.654 (multiplicity 4)
H 0.232 0.500 0.133 (multiplicity 4)
Pd 0.061 0.500 0.282 (multiplicity 4)

---

No. 5
Calculated powder X-ray diffraction pattern
Compound: ThH11Pd5
Radiation: Cu Ka
Structure: a structure optimized by DFT (PBE)
Kinematic intensities with the Lorentz-polarization factor, no thermal factor.

Principal peaks in the range 10 to 90 degrees two-theta, sorted by position:
(1 1 0), 2θ = 15.85°, d 5.592, I 47
(0 2 1), 2θ = 30.39°, d 2.941, I 61
(2 2 -1), 2θ = 30.92°, d 2.892, I 80
(2 2 0), 2θ = 32.00°, d 2.797, I 100
(2 0 -2), 2θ = 36.14°, d 2.485, I 59
(1 3 -1), 2θ = 37.75°, d 2.383, I 49

Structural model:
abc: 8.998 8.147 4.974
angles: 90.00 121.30 90.00
Space group C2/m (No. 12)
Inequivalent atoms, fractional coordinates:
Th 0.000 0.000 0.000 (multiplicity 2)
H 0.000 0.000 0.500 (multiplicity 2)
H 0.104 0.273 0.918 (multiplicity 8)
H 0.206 0.369 0.524 (multiplicity 8)
H 0.225 0.500 0.071 (multiplicity 4)
Pd 0.000 0.500 0.000 (multiplicity 2)
Pd 0.189 0.185 0.693 (multiplicity 8)

---

No. 6
Calculated powder X-ray diffraction pattern
Compound: ThH3Pd6
Radiation: Cu Ka
Structure: a structure optimized by DFT (PBE)
Kinematic intensities with the Lorentz-polarization factor, no thermal factor.

Principal peaks in the range 10 to 90 degrees two-theta, sorted by position:
(1 1 1), 2θ = 29.14°, d 3.064, I 36
(2 0 1), 2θ = 32.19°, d 2.781, I 20
(3 1 0), 2θ = 33.00°, d 2.714, I 28
(2 2 -1), 2θ = 37.89°, d 2.374, I 100
(1 1 -2), 2θ = 38.51°, d 2.338, I 19
(4 0 -2), 2θ = 41.53°, d 2.175, I 34

Structural model:
abc: 10.221 5.668 5.216
angles: 90.00 114.82 90.00
Space group Cm (No. 8)
Inequivalent atoms, fractional coordinates:
Th 0.000 0.000 0.000 (multiplicity 2)
H 0.251 0.000 0.915 (multiplicity 2)
H 0.300 0.500 0.404 (multiplicity 2)
H 0.490 0.000 0.528 (multiplicity 2)
Pd 0.108 0.500 0.223 (multiplicity 2)
Pd 0.127 0.255 0.705 (multiplicity 4)
Pd 0.351 0.245 0.249 (multiplicity 4)
Pd 0.367 0.000 0.731 (multiplicity 2)

---

No. 7
Calculated powder X-ray diffraction pattern
Compound: ThH4Pd2
Radiation: Cu Ka
Structure: a structure optimized by DFT (PBE)
Kinematic intensities with the Lorentz-polarization factor, no thermal factor.

Principal peaks in the range 10 to 90 degrees two-theta, sorted by position:
(2 2 0), 2θ = 26.24°, d 3.396, I 62
(1 3 1), 2θ = 28.53°, d 3.128, I 100
(0 2 2), 2θ = 31.35°, d 2.853, I 68
(3 1 1), 2θ = 36.13°, d 2.486, I 74
(1 5 1), 2θ = 41.99°, d 2.152, I 31
(1 1 3), 2θ = 43.79°, d 2.067, I 37

Structural model:
abc: 8.285 11.856 6.511
angles: 90.00 90.00 90.00
Space group Fdd2 (No. 43)
Inequivalent atoms, fractional coordinates:
Th 0.000 0.000 0.000 (multiplicity 8)
H 0.037 0.182 0.796 (multiplicity 16)
H 0.065 0.106 0.296 (multiplicity 16)
Pd 0.122 0.076 0.596 (multiplicity 16)